No. 1
Starting from DFT lattice parameters and positions (GGA-PBE), the PXRD pattern of Sm4Ru3C5 was simulated for Cu Kα.
Peak positions follow from Bragg's law for the DFT cell and can differ from measured ones.

Crystal structure
```
data_Sm4Ru3C5
_cell_length_a 6.2529
_cell_length_b 6.2529
_cell_length_c 9.7516
_cell_angle_alpha 114.16
_cell_angle_beta 114.16
_cell_angle_gamma 36.56
_space_group_name_H-M_alt 'P 1'
_space_group_IT_number 1
_space_group_name_Hall 'P 1'
loop_
_atom_site_label
_atom_site_type_symbol
_atom_site_fract_x
_atom_site_fract_y
_atom_site_fract_z
Sm1 Sm 0.1048 0.1048 0.4033
Sm2 Sm 0.2599 0.2599 0.8329
Sm3 Sm 0.7401 0.7401 0.1671
Sm4 Sm 0.8952 0.8952 0.5967
Ru1 Ru 0.0000 0.0000 0.0000
Ru2 Ru 0.4502 0.4502 0.1732
Ru3 Ru 0.5498 0.5498 0.8268
C1 C 0.3042 0.3042 0.3893
C2 C 0.3854 0.3854 0.3268
C3 C 0.5000 0.5000 0.0000
C4 C 0.6146 0.6146 0.6732
C5 C 0.6958 0.6958 0.6107
```

Top 10 peaks for 10° ≤ 2θ ≤ 90°, low angle first:
- 24.8°, rel. 26
- 27.7°, rel. 47
- 30.4°, rel. 24
- 30.7°, rel. 31
- 31.4°, rel. 26
- 32.1°, rel. 100
- 34.0°, rel. 88
- 36.2°, rel. 41
- 39.2°, rel. 25
- 46.3°, rel. 33

=====

No. 2
Starting from DFT lattice parameters and positions (GGA-PBE), the PXRD pattern of SmRuC was simulated for Cu Kα.
Peak positions follow from Bragg's law for the DFT cell and can differ from measured ones.

Crystal structure
```
data_SmRuC
_cell_length_a 3.8901
_cell_length_b 3.8901
_cell_length_c 6.9243
_cell_angle_alpha 90.00
_cell_angle_beta 90.00
_cell_angle_gamma 90.00
_space_group_name_H-M_alt 'P 1'
_space_group_IT_number 1
_space_group_name_Hall 'P 1'
loop_
_atom_site_label
_atom_site_type_symbol
_atom_site_fract_x
_atom_site_fract_y
_atom_site_fract_z
Sm1 Sm 0.0000 0.0000 0.2500
Sm2 Sm 0.0000 0.0000 0.7500
Ru1 Ru 0.5000 0.5000 0.0000
Ru2 Ru 0.5000 0.5000 0.5000
C1 C 0.0000 0.5000 0.0000
C2 C 0.5000 0.0000 0.5000
```

Top 10 peaks for 10° ≤ 2θ ≤ 90°, low angle first:
- 32.6°, rel. 54
- 34.7°, rel. 100
- 46.7°, rel. 23
- 52.9°, rel. 8
- 59.5°, rel. 42
- 63.5°, rel. 16
- 68.2°, rel. 7
- 73.2°, rel. 12
- 77.6°, rel. 9
- 78.8°, rel. 9